Ta5Ga13: computed powder diffractogram (copper Kα), based on DFT lattice parameters and positions (PBE).

Most intense lines, 10 to 90 degrees two-theta, low angle first:
2θ (°)	d [Å]	I_rel
25.97	3.431	11.5
39.18	2.299	100.0
40.18	2.245	19.8
48.06	1.893	27.2
64.38	1.447	19.3
70.32	1.339	8.6
72.34	1.306	11.3
83.51	1.158	10.4
83.65	1.156	11.0
84.22	1.150	9.1

Cell and atoms:
```
Ta5Ga13
1.0
1.8948 -20.2008 0.0000
1.8948 20.2008 0.0000
0.0000 0.0000 3.7829
Ta Ga
5 13
direct
0.0000 0.0000 0.0000 Ta
0.2165 0.7835 0.0000 Ta
0.3918 0.6082 0.5000 Ta
0.6082 0.3918 0.5000 Ta
0.7835 0.2165 0.0000 Ta
0.0550 0.9450 0.5000 Ga
0.1117 0.8883 0.0000 Ga
0.1646 0.8354 0.5000 Ga
0.2720 0.7280 0.5000 Ga
0.3349 0.6651 0.0000 Ga
0.4453 0.5547 0.0000 Ga
0.5000 0.5000 0.5000 Ga
0.5547 0.4453 0.0000 Ga
0.6651 0.3349 0.0000 Ga
0.7280 0.2720 0.5000 Ga
0.8354 0.1646 0.5000 Ga
0.8883 0.1117 0.0000 Ga
0.9450 0.0550 0.5000 Ga
```



BaZn2Se2Cl2O6: computed powder diffractogram (copper Kα), based on DFT lattice parameters and positions (PBE).

Most intense lines, 10 to 90 degrees two-theta, low angle first:
2θ (°)	d [Å]	I_rel
23.60	3.770	18.0
26.03	3.423	76.6
31.67	2.825	38.5
32.42	2.762	100.0
42.04	2.149	15.8
46.86	1.939	40.6
54.06	1.696	17.3
55.98	1.643	22.9
57.83	1.595	18.3
67.88	1.381	18.3

Cell and atoms:
```
BaZn2Se2Cl2O6
1.0
2.7618 1.5945 8.1680
-2.7618 1.5945 8.1680
0.0000 -3.1891 8.1680
Ba Zn Se Cl O
1 2 2 2 6
direct
0.0000 0.0000 0.0000 Ba
0.2319 0.2319 0.2319 Zn
0.7681 0.7681 0.7681 Zn
0.4264 0.4264 0.4264 Se
0.5736 0.5736 0.5736 Se
0.1403 0.1403 0.1403 Cl
0.8597 0.8597 0.8597 Cl
0.0766 0.5497 0.5497 O
0.4503 0.4503 0.9234 O
0.4503 0.9234 0.4503 O
0.5497 0.0766 0.5497 O
0.5497 0.5497 0.0766 O
0.9234 0.4503 0.4503 O
```



AlGaCuSe4: computed powder diffractogram (copper Kα), based on DFT lattice parameters and positions (PBE).

Most intense lines, 10 to 90 degrees two-theta, low angle first:
2θ (°)	d [Å]	I_rel
14.38	6.160	47.4
27.80	3.209	26.6
28.99	3.080	48.8
33.36	2.686	51.9
33.72	2.658	100.0
44.24	2.047	19.7
48.16	1.889	88.1
48.42	1.880	43.0
60.08	1.540	33.5
80.05	1.199	13.6

Cell and atoms:
```
AlGaCuSe4
1.0
7.5189 0.0000 0.0000
0.0000 7.5189 0.0000
0.0000 0.0000 10.7434
Al Ga Cu Se
4 4 4 16
direct
0.2460 0.2460 0.3750 Al
0.2460 0.7540 0.1250 Al
0.7540 0.2460 0.6250 Al
0.7540 0.7540 0.8750 Al
0.0000 0.2690 0.0000 Ga
0.0000 0.7310 0.5000 Ga
0.2690 0.0000 0.7500 Ga
0.7310 0.0000 0.2500 Ga
0.2461 0.5000 0.7500 Cu
0.5000 0.2461 0.0000 Cu
0.5000 0.7539 0.5000 Cu
0.7539 0.5000 0.2500 Cu
0.0214 0.2509 0.7564 Se
0.0214 0.7491 0.7436 Se
0.2509 0.0214 0.9936 Se
0.2509 0.9786 0.5064 Se
0.2581 0.4925 0.9897 Se
0.2581 0.5075 0.5103 Se
0.4925 0.2581 0.7603 Se
0.4925 0.7419 0.7397 Se
0.5075 0.2581 0.2397 Se
0.5075 0.7419 0.2603 Se
0.7419 0.4925 0.0103 Se
0.7419 0.5075 0.4897 Se
0.7491 0.0214 0.0064 Se
0.7491 0.9786 0.4936 Se
0.9786 0.2509 0.2436 Se
0.9786 0.7491 0.2564 Se
```



DyZrS2I2: computed powder diffractogram (copper Kα), based on DFT lattice parameters and positions (PBE).

Most intense lines, 10 to 90 degrees two-theta, low angle first:
2θ (°)	d [Å]	I_rel
19.37	4.583	100.0
29.39	3.039	93.7
29.57	3.021	53.7
34.04	2.633	49.5
40.57	2.224	29.3
45.13	2.009	16.4
45.58	1.990	54.6
49.54	1.840	17.0
57.71	1.597	15.6
60.99	1.519	15.1

Cell and atoms:
```
DyZrS2I2
1.0
4.0179 0.0000 0.0000
0.0000 5.2677 0.0000
0.0000 0.0000 9.2920
Dy Zr S I
1 1 2 2
direct
0.0000 0.0000 0.0000 Dy
0.5000 0.5000 0.2019 Zr
0.0000 0.5000 0.0245 S
0.5000 0.0000 0.2010 S
0.0000 0.5000 0.4360 I
0.5000 0.0000 0.7545 I
```



RbMoN2: computed powder diffractogram (copper Kα), based on DFT lattice parameters and positions (PBE).

Most intense lines, 10 to 90 degrees two-theta, low angle first:
2θ (°)	d [Å]	I_rel
29.54	3.024	100.0
29.79	2.999	46.1
42.63	2.121	14.8
52.25	1.751	20.1
52.72	1.736	37.5
61.31	1.512	13.6
70.17	1.341	8.6
84.58	1.146	9.8
85.20	1.139	8.9
85.58	1.135	9.6

Cell and atoms:
```
RbMoN2
1.0
-2.9991 2.9991 4.3127
2.9991 -2.9991 4.3127
2.9991 2.9991 -4.3127
Rb Mo N
2 2 4
direct
0.0000 0.0000 0.0000 Rb
0.7500 0.2500 0.5000 Rb
0.2500 0.7500 0.5000 Mo
0.5000 0.5000 0.0000 Mo
0.3050 0.6232 0.1799 N
0.3768 0.5568 0.6818 N
0.4432 0.1250 0.8201 N
0.8750 0.6950 0.3182 N
```



Al2Tc2O5: computed powder diffractogram (copper Kα), based on DFT lattice parameters and positions (PBE).

Most intense lines, 10 to 90 degrees two-theta, low angle first:
2θ (°)	d [Å]	I_rel
13.60	6.510	59.5
22.44	3.961	100.0
26.34	3.384	27.1
31.95	2.801	62.6
35.70	2.515	53.6
41.62	2.170	26.3
45.81	1.981	59.1
47.79	1.903	43.4
63.61	1.463	26.4
68.36	1.372	28.2

Cell and atoms:
```
Al2Tc2O5
1.0
3.9612 0.0000 0.0000
0.0000 3.9612 0.0000
0.0000 0.0000 6.5096
Al Tc O
2 2 5
direct
0.0000 0.0000 0.0000 Al
0.0000 0.0000 0.5000 Al
0.5000 0.5000 0.1750 Tc
0.5000 0.5000 0.8250 Tc
0.0000 0.5000 0.1909 O
0.0000 0.5000 0.8091 O
0.5000 0.0000 0.1909 O
0.5000 0.0000 0.8091 O
0.5000 0.5000 0.5000 O
```



Question: What is the formula in the first record?
Answer: Ta5Ga13